Entry 1:
YAgSeS: simulated powder XRD pattern (copper Kα), based on a PBE-relaxed structure.
Peak positions follow from Bragg's law for the DFT cell and can differ from measured ones.

Main lines, low angle first (15° ≤ 2θ ≤ 90°):
| 2θ/deg | I (rel.) | (hkl) |
| --- | --- | --- |
| 21.03 | 37.8 | 1 0 0 |
| 26.74 | 41.9 | 0 2 0 |
| 28.16 | 42.6 | 1 1 -1 |
| 28.57 | 71.6 | 1 1 1 |
| 29.96 | 25.1 | 0 2 1 |
| 33.92 | 33.6 | 1 0 -2 |
| 34.26 | 39.9 | 1 2 0 |
| 38.17 | 100.0 | 0 2 2 |
| 46.88 | 32.4 | 2 1 -1 |
| 47.40 | 27.5 | 2 1 1 |

Structure:
abc: 4.226 6.669 6.669
angles: 90.00 91.14 90.00
Space group P2_1 (No. 4)
One atom of each set of equivalent atoms:
Y1 0.214 0.000 0.265 [2 per cell]
Ag1 0.001 0.506 0.251 [2 per cell]
Se1 0.286 0.704 0.951 [2 per cell]
S1 0.267 0.302 0.549 [2 per cell]

---

Entry 2:
DyY2Mg4Al2: simulated powder XRD pattern (copper Kα), based on a PBE-relaxed structure.
Peak positions follow from Bragg's law for the DFT cell and can differ from measured ones.

Main lines, low angle first (15° ≤ 2θ ≤ 90°):
| 2θ/deg | I (rel.) | (hkl) |
| --- | --- | --- |
| 19.48 | 29.4 | 1 0 0 |
| 23.77 | 22.8 | 0 3 1 |
| 27.51 | 42.9 | 0 4 0 |
| 30.92 | 72.7 | 1 3 1 |
| 33.94 | 100.0 | 1 4 0 |
| 36.66 | 33.0 | 0 1 3 |
| 39.56 | 21.7 | 2 0 0 |
| 50.76 | 22.0 | 0 5 3 |
| 54.88 | 34.6 | 1 5 3 |
| 55.03 | 20.1 | 2 1 3 |

Structure:
abc: 4.556 12.962 7.492
angles: 90.00 90.00 90.00
Space group Amm2 (No. 38)
One atom of each set of equivalent atoms:
Dy1 0.000 0.000 0.000 [2 per cell]
Y1 0.000 0.218 0.346 [4 per cell]
Mg1 0.000 0.000 0.564 [2 per cell]
Mg2 0.500 0.000 0.314 [2 per cell]
Mg3 0.500 0.125 0.689 [4 per cell]
Al1 0.500 0.166 0.064 [4 per cell]

---

Entry 3:
Cs3NpCl6: simulated powder XRD pattern (copper Kα), based on a PBE-relaxed structure.
Peak positions follow from Bragg's law for the DFT cell and can differ from measured ones.

Main lines, low angle first (15° ≤ 2θ ≤ 90°):
| 2θ/deg | I (rel.) | (hkl) |
| --- | --- | --- |
| 20.90 | 100.0 | 1 1 1 |
| 21.02 | 36.6 | 2 0 -2 |
| 21.79 | 44.1 | 0 2 0 |
| 22.04 | 97.5 | 3 1 -1 |
| 30.46 | 72.6 | 2 2 -2 |
| 30.65 | 25.6 | 4 0 0 |
| 36.08 | 50.1 | 2 0 2 |
| 37.92 | 32.8 | 4 2 0 |
| 38.13 | 32.0 | 5 1 -3 |
| 38.37 | 26.6 | 3 3 -1 |

Structure:
abc: 13.924 8.157 8.475
angles: 90.00 123.07 90.00
Space group C2/m (No. 12)
One atom of each set of equivalent atoms:
Cs1 0.000 0.000 0.000 [2 per cell]
Cs2 0.243 0.000 0.724 [4 per cell]
Np1 0.000 0.500 0.500 [2 per cell]
Cl1 0.068 0.267 0.349 [8 per cell]
Cl2 0.212 0.500 0.829 [4 per cell]

---

Entry 4:
KTlPdCl4: simulated powder XRD pattern (copper Kα), based on a PBE-relaxed structure.
Peak positions follow from Bragg's law for the DFT cell and can differ from measured ones.

Main lines, low angle first (15° ≤ 2θ ≤ 90°):
| 2θ/deg | I (rel.) | (hkl) |
| --- | --- | --- |
| 17.60 | 19.7 | 0 1 1 |
| 24.63 | 44.7 | 1 0 1 |
| 27.70 | 100.0 | 1 1 1 |
| 27.89 | 24.9 | 0 1 2 |
| 35.47 | 26.2 | 1 2 1 |
| 35.62 | 48.6 | 0 2 2 |
| 45.54 | 24.5 | 1 1 3 |
| 45.88 | 23.9 | 1 3 1 |
| 50.98 | 23.5 | 0 0 4 |
| 57.21 | 23.2 | 2 2 2 |

Structure:
abc: 4.186 7.088 7.170
angles: 90.00 90.00 90.00
Space group Pmmm (No. 47)
One atom of each set of equivalent atoms:
K1 0.000 0.000 0.000 [1 per cell]
Tl1 0.000 0.500 0.500 [1 per cell]
Pd1 0.500 0.500 0.000 [1 per cell]
Cl1 0.500 0.267 0.229 [4 per cell]

---

Entry 5:
Y2Hf4Bi3N3: simulated powder XRD pattern (copper Kα), based on a PBE-relaxed structure.
Peak positions follow from Bragg's law for the DFT cell and can differ from measured ones.

Main lines, low angle first (15° ≤ 2θ ≤ 90°):
| 2θ/deg | I (rel.) | (hkl) |
| --- | --- | --- |
| 29.64 | 23.4 | 3 1 -1 |
| 29.75 | 11.9 | 0 2 0 |
| 35.12 | 51.5 | 3 1 -4 |
| 35.26 | 100.0 | 0 2 3 |
| 37.56 | 28.5 | 0 0 6 |
| 48.65 | 14.6 | 0 2 6 |
| 52.73 | 21.8 | 3 3 -1 |
| 66.17 | 13.0 | 6 0 -8 |
| 66.35 | 15.0 | 0 2 9 |
| 66.47 | 14.7 | 3 3 -7 |

Structure:
abc: 10.455 6.006 14.795
angles: 90.00 103.86 90.00
Space group C2/c (No. 15)
One atom of each set of equivalent atoms:
Y1 0.049 0.080 0.408 [8 per cell]
Hf1 0.110 0.409 0.577 [8 per cell]
Hf2 0.227 0.421 0.922 [8 per cell]
Bi1 0.000 0.440 0.250 [4 per cell]
Bi2 0.179 0.093 0.752 [8 per cell]
N1 0.088 0.265 0.000 [8 per cell]
N2 0.250 0.250 0.500 [4 per cell]

---

Entry 6:
AgAu: simulated powder XRD pattern (copper Kα), based on a PBE-relaxed structure.
Peak positions follow from Bragg's law for the DFT cell and can differ from measured ones.

Main lines, low angle first (15° ≤ 2θ ≤ 90°):
| 2θ/deg | I (rel.) | (hkl) |
| --- | --- | --- |
| 37.75 | 100.0 | 1 1 10 |
| 42.94 | 17.5 | 0 0 20 |
| 43.39 | 16.9 | 0 2 0 |
| 45.25 | 14.9 | 2 0 0 |
| 62.69 | 11.3 | 0 2 20 |
| 64.14 | 10.4 | 2 0 20 |
| 75.23 | 13.2 | 1 1 30 |
| 75.88 | 12.9 | 1 3 10 |
| 78.53 | 11.8 | 3 1 10 |
| 80.63 | 11.1 | 2 2 20 |

Structure:
abc: 4.008 4.171 42.127
angles: 90.00 90.00 90.00
Space group Imma (No. 74)
One atom of each set of equivalent atoms:
Ag1 0.000 0.250 0.025 [4 per cell]
Ag2 0.000 0.250 0.125 [4 per cell]
Ag3 0.000 0.250 0.225 [4 per cell]
Ag4 0.000 0.250 0.825 [4 per cell]
Ag5 0.000 0.250 0.925 [4 per cell]
Au1 0.000 0.250 0.325 [4 per cell]
Au2 0.000 0.250 0.425 [4 per cell]
Au3 0.000 0.250 0.525 [4 per cell]
Au4 0.000 0.250 0.625 [4 per cell]
Au5 0.000 0.250 0.725 [4 per cell]

---

Entry 7:
Nb8PtSe20: simulated powder XRD pattern (copper Kα), based on a PBE-relaxed structure.
Peak positions follow from Bragg's law for the DFT cell and can differ from measured ones.

Main lines, low angle first (15° ≤ 2θ ≤ 90°):
| 2θ/deg | I (rel.) | (hkl) |
| --- | --- | --- |
| 29.44 | 62.7 | 3 1 -2 |
| 33.78 | 100.0 | 5 1 -1 |
| 34.63 | 48.7 | 1 1 -5 |
| 34.99 | 36.8 | 8 0 -3 |
| 35.52 | 36.9 | 5 1 1 |
| 36.70 | 82.3 | 2 0 -8 |
| 42.39 | 74.5 | 7 1 1 |
| 43.76 | 71.5 | 1 1 7 |
| 44.44 | 45.2 | 10 0 -1 |
| 52.89 | 65.3 | 0 2 0 |

Structure:
abc: 20.686 3.463 19.602
angles: 90.00 105.78 90.00
Space group C2/m (No. 12)
One atom of each set of equivalent atoms:
Nb1 0.078 0.000 0.409 [4 per cell]
Nb2 0.152 0.000 0.943 [4 per cell]
Nb3 0.169 0.500 0.311 [4 per cell]
Nb4 0.234 0.500 0.781 [4 per cell]
Pt1 0.000 0.500 0.500 [2 per cell]
Se1 0.021 0.500 0.631 [4 per cell]
Se2 0.054 0.500 0.889 [4 per cell]
Se3 0.070 0.000 0.273 [4 per cell]
Se4 0.097 0.500 0.015 [4 per cell]
Se5 0.122 0.500 0.512 [4 per cell]
Se6 0.143 0.000 0.803 [4 per cell]
Se7 0.168 0.500 0.175 [4 per cell]
Se8 0.202 0.000 0.676 [4 per cell]
Se9 0.205 0.000 0.414 [4 per cell]
Se10 0.246 0.500 0.928 [4 per cell]

---

Entry 8:
Np2Se5: simulated powder XRD pattern (copper Kα), based on a PBE-relaxed structure.
Peak positions follow from Bragg's law for the DFT cell and can differ from measured ones.

Main lines, low angle first (15° ≤ 2θ ≤ 90°):
| 2θ/deg | I (rel.) | (hkl) |
| --- | --- | --- |
| 23.00 | 40.5 | 2 0 0 |
| 23.36 | 47.8 | 1 1 2 |
| 30.09 | 17.6 | 1 1 3 |
| 32.76 | 37.0 | 2 2 0 |
| 33.82 | 32.7 | 0 0 4 |
| 37.71 | 33.4 | 1 1 4 |
| 40.63 | 100.0 | 3 1 2 |
| 41.27 | 25.2 | 2 0 4 |
| 63.84 | 24.7 | 5 1 2 |
| 64.31 | 15.4 | 4 2 4 |

Structure:
abc: 7.729 7.736 10.611
angles: 90.00 90.00 90.00
Space group Ccce (No. 68, origin choice 2)
One atom of each set of equivalent atoms:
Np1 0.250 0.000 0.151 [8 per cell]
Se1 0.000 0.250 0.250 [4 per cell]
Se2 0.122 0.128 0.898 [16 per cell]

---

Entry 9:
Ta3Bi2S6: simulated powder XRD pattern (copper Kα), based on a PBE-relaxed structure.
Peak positions follow from Bragg's law for the DFT cell and can differ from measured ones.

Main lines, low angle first (15° ≤ 2θ ≤ 90°):
| 2θ/deg | I (rel.) | (hkl) |
| --- | --- | --- |
| 20.24 | 100.0 | 0 0 4 |
| 20.51 | 41.4 | 1 0 2 |
| 31.54 | 65.8 | 1 1 1 |
| 32.78 | 97.8 | 1 1 2 |
| 34.77 | 50.8 | 1 1 3 |
| 40.56 | 33.4 | 1 1 5 |
| 44.18 | 92.5 | 1 1 6 |
| 55.35 | 41.0 | 3 0 0 |
| 59.55 | 36.1 | 3 0 4 |
| 71.25 | 25.2 | 3 0 8 |

Structure:
abc: 5.7495 5.7495 17.5482
angles: 90.00 90.00 120.00
Space group P6_3/mcm (No. 193)
One atom of each set of equivalent atoms:
Ta1 0.0000 0.3263 0.2500 [6 per cell]
Bi1 0.3333 0.6667 0.0000 [4 per cell]
S1 0.0000 0.0000 0.1586 [4 per cell]
S2 0.3333 0.6667 0.1619 [8 per cell]

---

Entry 10:
LuGaTe3Pb: simulated powder XRD pattern (copper Kα), based on a PBE-relaxed structure.
Peak positions follow from Bragg's law for the DFT cell and can differ from measured ones.

Main lines, low angle first (15° ≤ 2θ ≤ 90°):
| 2θ/deg | I (rel.) | (hkl) |
| --- | --- | --- |
| 19.98 | 31.3 | 0 2 2 |
| 26.96 | 55.4 | 1 3 0 |
| 28.17 | 100.0 | 1 3 1 |
| 31.50 | 95.2 | 1 3 2 |
| 32.26 | 58.4 | 0 0 4 |
| 36.45 | 29.8 | 1 3 3 |
| 39.92 | 82.2 | 0 6 2 |
| 40.63 | 45.2 | 2 0 0 |
| 49.45 | 38.0 | 1 3 5 |
| 58.25 | 31.7 | 2 6 2 |

Structure:
abc: 4.441 14.848 11.098
angles: 90.00 90.00 90.00
Space group Cmcm (No. 63)
One atom of each set of equivalent atoms:
Lu1 0.000 0.000 0.000 [4 per cell]
Ga1 0.000 0.464 0.250 [4 per cell]
Te1 0.000 0.091 0.250 [4 per cell]
Te2 0.000 0.358 0.037 [8 per cell]
Pb1 0.000 0.250 0.750 [4 per cell]

---

Entry 11:
NaMgIn4Pd2: simulated powder XRD pattern (copper Kα), based on a PBE-relaxed structure.
Peak positions follow from Bragg's law for the DFT cell and can differ from measured ones.

Main lines, low angle first (15° ≤ 2θ ≤ 90°):
| 2θ/deg | I (rel.) | (hkl) |
| --- | --- | --- |
| 17.66 | 58.3 | 0 0 2 |
| 20.71 | 39.1 | 1 0 2 |
| 22.84 | 39.2 | 0 1 1 |
| 31.60 | 78.9 | 2 1 1 |
| 34.18 | 33.2 | 0 1 3 |
| 35.92 | 51.1 | 1 1 3 |
| 40.15 | 100.0 | 3 1 1 |
| 40.76 | 68.9 | 2 1 3 |
| 42.13 | 43.9 | 2 0 4 |
| 42.82 | 45.3 | 0 2 0 |

Structure:
abc: 8.249 4.223 10.043
angles: 90.00 90.00 90.00
Space group Amm2 (No. 38)
One atom of each set of equivalent atoms:
Na1 0.000 0.000 0.000 [2 per cell]
Mg1 0.500 0.000 0.131 [2 per cell]
In1 0.198 0.000 0.707 [4 per cell]
In2 0.303 0.000 0.424 [4 per cell]
Pd1 0.000 0.000 0.287 [2 per cell]
Pd2 0.500 0.000 0.843 [2 per cell]